# 1
Computed powder X-ray diffraction pattern of B3C7 for Cu Kα, from DFT lattice parameters and positions (PBE).
Peak positions follow from Bragg's law for the DFT cell and can differ from measured ones.

Peak list (10 most intense, 10° ≤ 2θ ≤ 90°, by angle)
2θ/deg  intensity
17.78  2
36.02  1
42.56  100
48.33  3
64.45  1
71.11  26
72.15  1
75.83  12
78.91  2
82.00  7

Atomic structure:
Cell: 10.132 10.132 10.132 Å, 165.77 165.77 20.17°
Positions (direct):
B 0.000 0.000 0.000
B 0.394 0.394 0.000
B 0.606 0.606 0.000
C 0.053 0.553 0.500
C 0.204 0.204 0.000
C 0.250 0.750 0.500
C 0.447 0.947 0.500
C 0.661 0.161 0.500
C 0.796 0.796 0.000
C 0.839 0.339 0.500

---

# 2
Computed powder X-ray diffraction pattern of BC for Cu Kα, from DFT lattice parameters and positions (PBE).
Peak positions follow from Bragg's law for the DFT cell and can differ from measured ones.

Peak list (10 most intense, 10° ≤ 2θ ≤ 90°, by angle)
2θ/deg  intensity
13.70  7
20.62  4
27.61  6
36.80  1
41.94  100
46.05  1
50.95  1
68.93  28
76.62  20
80.77  1

Atomic structure:
Cell: 2.487 2.487 12.925 Å, 90.00 90.00 90.00°
Positions (direct):
B 0.000 0.000 0.000
B 0.000 0.000 0.338
B 0.000 0.000 0.662
B 0.000 0.500 0.767
B 0.500 0.000 0.233
B 0.500 0.500 0.500
C 0.000 0.500 0.085
C 0.000 0.500 0.417
C 0.500 0.000 0.583
C 0.500 0.000 0.915
C 0.500 0.500 0.150
C 0.500 0.500 0.850

---

# 3
Computed powder X-ray diffraction pattern of B3C7 for Cu Kα, from DFT lattice parameters and positions (PBE).
Peak positions follow from Bragg's law for the DFT cell and can differ from measured ones.

Peak list (10 most intense, 10° ≤ 2θ ≤ 90°, by angle)
2θ/deg  intensity
16.03  11
24.14  3
40.80  28
43.10  100
71.02  22
74.24  25
79.29  3
85.28  8
88.37  12
89.90  9

Atomic structure:
Cell: 11.157 11.157 11.157 Å, 13.15 13.15 13.15°
Positions (direct):
B 0.000 0.000 0.000
B 0.191 0.191 0.191
B 0.555 0.555 0.555
C 0.143 0.143 0.143
C 0.352 0.352 0.352
C 0.398 0.398 0.398
C 0.603 0.603 0.603
C 0.747 0.747 0.747
C 0.794 0.794 0.794
C 0.950 0.950 0.950

---

# 4
Computed powder X-ray diffraction pattern of B5C7 for Cu Kα, from DFT lattice parameters and positions (PBE).
Peak positions follow from Bragg's law for the DFT cell and can differ from measured ones.

Peak list (10 most intense, 10° ≤ 2θ ≤ 90°, by angle)
2θ/deg  intensity
11.77  42
17.70  66
23.67  26
41.51  100
42.07  36
43.74  40
69.89  23
71.96  34
86.65  8
87.02  18

Atomic structure:
Cell: 2.624 2.624 15.033 Å, 90.00 90.00 120.00°
Positions (direct):
B 0.000 0.000 0.000
B 0.000 0.000 0.116
B 0.333 0.667 0.389
B 0.667 0.333 0.511
B 0.667 0.333 0.933
C 0.000 0.000 0.555
C 0.000 0.000 0.655
C 0.333 0.667 0.118
C 0.333 0.667 0.691
C 0.333 0.667 0.793
C 0.667 0.333 0.400
C 0.667 0.333 0.828

---

# 5
Computed powder X-ray diffraction pattern of B5C7 for Cu Kα, from DFT lattice parameters and positions (PBE).
Peak positions follow from Bragg's law for the DFT cell and can differ from measured ones.

Peak list (10 most intense, 10° ≤ 2θ ≤ 90°, by angle)
2θ/deg  intensity
20.14  11
30.07  11
40.94  46
41.30  54
42.07  100
69.43  11
70.68  27
71.18  20
72.10  14
84.38  10

Atomic structure:
Cell: 4.676 4.676 7.502 Å, 114.13 114.13 32.54°
Positions (direct):
B 0.000 0.000 0.000
B 0.335 0.335 0.150
B 0.505 0.505 0.825
B 0.629 0.629 0.265
B 0.874 0.874 0.565
C 0.013 0.013 0.482
C 0.170 0.170 0.189
C 0.177 0.177 0.683
C 0.329 0.329 0.638
C 0.505 0.505 0.365
C 0.679 0.679 0.806
C 0.825 0.825 0.003

---

# 6
Computed powder X-ray diffraction pattern of B5C7 for Cu Kα, from DFT lattice parameters and positions (PBE).
Peak positions follow from Bragg's law for the DFT cell and can differ from measured ones.

Peak list (10 most intense, 10° ≤ 2θ ≤ 90°, by angle)
2θ/deg  intensity
16.94  14
20.04  18
30.85  15
40.73  54
41.00  48
41.98  100
69.92  33
70.28  28
73.05  13
85.21  9

Atomic structure:
Cell: 6.100 6.100 5.381 Å, 103.11 103.11 24.52°
Positions (direct):
B 0.000 0.000 0.000
B 0.007 0.007 0.504
B 0.391 0.391 0.451
B 0.639 0.639 0.380
B 0.757 0.757 0.079
C 0.077 0.077 0.287
C 0.081 0.081 0.799
C 0.319 0.319 0.672
C 0.327 0.327 0.152
C 0.398 0.398 0.949
C 0.654 0.654 0.825
C 0.742 0.742 0.639

---

# 7
Computed powder X-ray diffraction pattern of B3C for Cu Kα, from DFT lattice parameters and positions (PBE).
Peak positions follow from Bragg's law for the DFT cell and can differ from measured ones.

Peak list (10 most intense, 10° ≤ 2θ ≤ 90°, by angle)
2θ/deg  intensity
15.52  38
23.30  30
30.86  55
36.92  36
40.62  100
41.30  30
64.96  14
69.23  17
70.92  14
76.49  11

Atomic structure:
Cell: 6.003 6.003 5.762 Å, 97.53 97.53 26.13°
Positions (direct):
B 0.000 0.000 0.000
B 0.001 0.001 0.511
B 0.320 0.320 0.709
B 0.358 0.358 0.443
B 0.385 0.385 0.976
B 0.620 0.620 0.349
B 0.625 0.625 0.710
B 0.747 0.747 0.556
B 0.760 0.760 0.246
C 0.056 0.056 0.271
C 0.069 0.069 0.775
C 0.310 0.310 0.175

---

# 8
Computed powder X-ray diffraction pattern of B5C7 for Cu Kα, from DFT lattice parameters and positions (PBE).
Peak positions follow from Bragg's law for the DFT cell and can differ from measured ones.

Peak list (10 most intense, 10° ≤ 2θ ≤ 90°, by angle)
2θ/deg  intensity
22.81  14
41.04  100
41.50  52
42.40  45
69.12  12
69.65  12
70.41  14
70.76  12
70.92  13
73.28  10

Atomic structure:
Cell: 3.688 4.724 5.357 Å, 107.98 91.83 112.94°
Positions (direct):
B 0.000 0.000 0.000
B 0.069 0.109 0.527
B 0.530 0.681 0.426
B 0.639 0.382 0.826
B 0.921 0.451 0.135
C 0.227 0.028 0.760
C 0.271 0.065 0.267
C 0.319 0.719 0.690
C 0.357 0.750 0.182
C 0.564 0.725 0.935
C 0.667 0.376 0.355
C 0.924 0.397 0.598

---

# 9
Computed powder X-ray diffraction pattern of B5C7 for Cu Kα, from DFT lattice parameters and positions (PBE).
Peak positions follow from Bragg's law for the DFT cell and can differ from measured ones.

Peak list (10 most intense, 10° ≤ 2θ ≤ 90°, by angle)
2θ/deg  intensity
22.10  25
41.68  100
42.20  99
69.59  27
69.83  14
71.32  13
74.38  24
80.50  8
88.15  8
89.66  8

Atomic structure:
Cell: 4.791 4.791 5.328 Å, 112.29 112.29 44.76°
Positions (direct):
B 0.000 0.000 0.000
B 0.272 0.702 0.273
B 0.298 0.728 0.727
B 0.351 0.295 0.671
B 0.705 0.649 0.329
C 0.360 0.295 0.164
C 0.598 0.092 0.418
C 0.607 0.045 0.930
C 0.705 0.640 0.836
C 0.908 0.402 0.582
C 0.955 0.393 0.070
C 0.990 0.010 0.500

---

# 10
Computed powder X-ray diffraction pattern of B5C7 for Cu Kα, from DFT lattice parameters and positions (PBE).
Peak positions follow from Bragg's law for the DFT cell and can differ from measured ones.

Peak list (10 most intense, 10° ≤ 2θ ≤ 90°, by angle)
2θ/deg  intensity
26.26  14
41.69  100
42.22  42
42.70  40
69.68  23
70.38  26
74.16  12
76.29  9
79.94  7
89.22  7

Atomic structure:
Cell: 6.666 6.666 4.806 Å, 103.57 103.57 22.12°
Positions (direct):
B 0.000 0.000 0.000
B 0.039 0.039 0.663
B 0.155 0.155 0.900
B 0.197 0.197 0.560
B 0.828 0.828 0.163
C 0.330 0.330 0.681
C 0.374 0.374 0.401
C 0.490 0.490 0.474
C 0.539 0.539 0.227
C 0.656 0.656 0.334
C 0.704 0.704 0.086
C 0.871 0.871 0.858

---

# 11
Computed powder X-ray diffraction pattern of B5C7 for Cu Kα, from DFT lattice parameters and positions (PBE).
Peak positions follow from Bragg's law for the DFT cell and can differ from measured ones.

Peak list (10 most intense, 10° ≤ 2θ ≤ 90°, by angle)
2θ/deg  intensity
23.29  27
40.32  93
41.91  100
42.16  97
42.70  100
69.60  25
69.82  26
70.17  25
71.05  24
72.82  23

Atomic structure:
Cell: 3.759 3.823 5.739 Å, 91.68 106.53 91.12°
Positions (direct):
B 0.000 0.000 0.000
B 0.122 0.461 0.303
B 0.438 0.438 0.001
B 0.566 0.780 0.813
B 0.790 0.466 0.635
C 0.108 0.226 0.797
C 0.257 0.992 0.630
C 0.307 0.745 0.147
C 0.446 0.216 0.478
C 0.619 0.973 0.316
C 0.763 0.200 0.146
C 0.938 0.747 0.477

---

# 12
Computed powder X-ray diffraction pattern of B3C7 for Cu Kα, from DFT lattice parameters and positions (PBE).
Peak positions follow from Bragg's law for the DFT cell and can differ from measured ones.

Peak list (10 most intense, 10° ≤ 2θ ≤ 90°, by angle)
2θ/deg  intensity
42.36  100
42.71  89
48.10  6
48.41  5
70.99  43
75.43  12
76.40  12
78.73  9
81.56  5
81.80  5

Atomic structure:
Cell: 10.174 10.174 10.174 Å, 165.92 165.77 20.07°
Positions (direct):
B 0.000 0.000 0.000
B 0.067 0.567 0.500
B 0.397 0.397 0.000
C 0.210 0.210 0.000
C 0.254 0.754 0.500
C 0.449 0.949 0.500
C 0.620 0.620 0.000
C 0.663 0.163 0.500
C 0.800 0.800 0.000
C 0.843 0.343 0.500